Entry 1:
Diffraction record for Tb2Nd2Sb3. The PXRD pattern is computed, not measured: it uses a crystal structure in Alexandria, relaxed with GGA-PBE and Cu Kα (λ = 1.5418 Å).
Intensities are scaled so that the largest is 100.

Crystal structure
Unit cell a=8.118 b=8.118 c=8.118 alpha=109.47 beta=109.47 gamma=109.47
Atoms (fractional coordinates):
Tb1 0.000 0.639 0.500
Tb2 0.500 0.000 0.639
Tb3 0.639 0.500 0.000
Tb4 0.861 0.861 0.861
Nd1 0.000 0.147 0.500
Nd2 0.147 0.500 0.000
Nd3 0.353 0.353 0.353
Nd4 0.500 0.000 0.147
Sb1 0.119 0.869 0.250
Sb2 0.250 0.119 0.869
Sb3 0.381 0.631 0.750
Sb4 0.631 0.750 0.381
Sb5 0.750 0.381 0.631
Sb6 0.869 0.250 0.119

The 10 most intense peaks (10° ≤ 2θ ≤ 90°), by intensity:
2θ/deg, I (rel.)
30.15, 100
35.84, 67
60.92, 25
49.59, 24
47.52, 18
74.36, 15
64.41, 15
62.68, 12
43.16, 10
45.38, 9

=====

Entry 2:
Diffraction record for LiTlAg. The PXRD pattern is computed, not measured: it uses a crystal structure in Alexandria, relaxed with GGA-PBE and Cu Kα (λ = 1.5418 Å).
Intensities are scaled so that the largest is 100.

Crystal structure
Unit cell a=3.557 b=3.585 c=5.277 alpha=109.85 beta=109.62 gamma=90.11
Atoms (fractional coordinates):
Li1 0.000 0.000 0.000
Tl1 0.675 0.674 0.349
Ag1 0.358 0.356 0.714

The 10 most intense peaks (10° ≤ 2θ ≤ 90°), by intensity:
2θ/deg, I (rel.)
35.55, 100
38.46, 79
38.60, 78
26.66, 67
26.85, 66
19.15, 49
40.69, 30
53.68, 28
71.60, 24
65.91, 23

=====

Entry 3:
Diffraction record for Na3Nd3MnSe8. The PXRD pattern is computed, not measured: it uses a crystal structure in Alexandria, relaxed with GGA-PBE and Cu Kα (λ = 1.5418 Å).
Intensities are scaled so that the largest is 100.

Crystal structure
Unit cell a=8.560 b=8.560 c=8.560 alpha=58.26 beta=58.26 gamma=58.26
Atoms (fractional coordinates):
Na1 0.000 0.500 0.500
Na2 0.500 0.000 0.500
Na3 0.500 0.500 0.000
Nd1 0.000 0.000 0.500
Nd2 0.000 0.500 0.000
Nd3 0.500 0.000 0.000
Mn1 0.500 0.500 0.500
Se1 0.246 0.246 0.246
Se2 0.279 0.717 0.717
Se3 0.283 0.283 0.721
Se4 0.283 0.721 0.283
Se5 0.717 0.279 0.717
Se6 0.717 0.717 0.279
Se7 0.721 0.283 0.283
Se8 0.754 0.754 0.754

The 10 most intense peaks (10° ≤ 2θ ≤ 90°), by intensity:
2θ/deg, I (rel.)
29.94, 100
12.50, 57
42.26, 34
43.43, 33
25.03, 17
38.78, 17
53.65, 16
45.37, 13
71.40, 12
69.71, 12

=====

Entry 4:
Diffraction record for BaSrPdO2F2. The PXRD pattern is computed, not measured: it uses a crystal structure in Alexandria, relaxed with GGA-PBE and Cu Kα (λ = 1.5418 Å).
Intensities are scaled so that the largest is 100.

Crystal structure
Unit cell a=4.139 b=4.139 c=13.690 alpha=90.00 beta=90.00 gamma=90.00
Atoms (fractional coordinates):
Ba1 0.000 0.000 0.000
Ba2 0.500 0.500 0.500
Sr1 0.000 0.000 0.728
Sr2 0.500 0.500 0.228
Pd1 0.000 0.000 0.369
Pd2 0.500 0.500 0.869
O1 0.000 0.500 0.349
O2 0.000 0.500 0.849
O3 0.500 0.000 0.349
O4 0.500 0.000 0.849
F1 0.000 0.500 0.120
F2 0.000 0.500 0.620
F3 0.500 0.000 0.120
F4 0.500 0.000 0.620

The 10 most intense peaks (10° ≤ 2θ ≤ 90°), by intensity:
2θ/deg, I (rel.)
29.13, 100
53.42, 36
30.55, 33
43.74, 30
39.47, 27
60.37, 18
40.56, 14
12.93, 14
50.73, 10
71.54, 10

=====

Entry 5:
Diffraction record for PuAl2AgAu2. The PXRD pattern is computed, not measured: it uses a crystal structure in Alexandria, relaxed with GGA-PBE and Cu Kα (λ = 1.5418 Å).
Intensities are scaled so that the largest is 100.

Crystal structure
Unit cell a=4.467 b=4.467 c=6.897 alpha=90.00 beta=90.00 gamma=120.00
Atoms (fractional coordinates):
Pu1 0.000 0.000 0.000
Al1 0.333 0.667 0.679
Al2 0.667 0.333 0.321
Ag1 0.000 0.000 0.500
Au1 0.333 0.667 0.269
Au2 0.667 0.333 0.731

The 10 most intense peaks (10° ≤ 2θ ≤ 90°), by intensity:
2θ/deg, I (rel.)
34.85, 100
26.41, 73
40.38, 68
54.38, 28
69.87, 27
68.78, 22
45.92, 15
48.90, 14
65.22, 13
73.42, 12

=====

Entry 6:
Diffraction record for Pm7PrTh3. The PXRD pattern is computed, not measured: it uses a crystal structure in Alexandria, relaxed with GGA-PBE and Cu Kα (λ = 1.5418 Å).
Intensities are scaled so that the largest is 100.

Crystal structure
Unit cell a=7.825 b=7.825 c=6.393 alpha=95.16 beta=95.16 gamma=81.77
Atoms (fractional coordinates):
Pm1 0.000 0.000 0.000
Pm2 0.077 0.431 0.262
Pm3 0.270 0.270 0.789
Pm4 0.431 0.077 0.262
Pm5 0.569 0.923 0.738
Pm6 0.730 0.730 0.211
Pm7 0.923 0.569 0.738
Pr1 0.000 0.000 0.500
Th1 0.328 0.672 0.000
Th2 0.500 0.500 0.500
Th3 0.672 0.328 0.000

The 10 most intense peaks (10° ≤ 2θ ≤ 90°), by intensity:
2θ/deg, I (rel.)
30.41, 100
31.11, 66
36.64, 50
33.65, 36
61.73, 19
50.55, 17
27.97, 16
50.63, 15
53.68, 14
62.92, 14

=====

Entry 7:
Diffraction record for Li4ErBi2. The PXRD pattern is computed, not measured: it uses a crystal structure in Alexandria, relaxed with GGA-PBE and Cu Kα (λ = 1.5418 Å).
Intensities are scaled so that the largest is 100.

Crystal structure
Unit cell a=8.161 b=8.161 c=4.569 alpha=90.00 beta=90.00 gamma=90.00
Atoms (fractional coordinates):
Li1 0.103 0.348 0.000
Li2 0.152 0.603 0.500
Li3 0.348 0.103 0.000
Li4 0.397 0.848 0.500
Li5 0.603 0.152 0.500
Li6 0.652 0.897 0.000
Li7 0.848 0.397 0.500
Li8 0.897 0.652 0.000
Er1 0.000 0.000 0.500
Er2 0.500 0.500 0.000
Bi1 0.208 0.792 0.000
Bi2 0.292 0.292 0.500
Bi3 0.708 0.708 0.500
Bi4 0.792 0.208 0.000

The 10 most intense peaks (10° ≤ 2θ ≤ 90°), by intensity:
2θ/deg, I (rel.)
24.86, 100
31.37, 56
38.52, 48
30.99, 46
15.35, 37
40.13, 35
24.39, 30
64.82, 27
50.99, 23
39.44, 20

=====

Entry 8:
Diffraction record for Li3Ac2ScSb4. The PXRD pattern is computed, not measured: it uses a crystal structure in Alexandria, relaxed with GGA-PBE and Cu Kα (λ = 1.5418 Å).
Intensities are scaled so that the largest is 100.

Crystal structure
Unit cell a=4.727 b=4.727 c=11.630 alpha=90.00 beta=90.00 gamma=90.00
Atoms (fractional coordinates):
Li1 0.000 0.000 0.000
Li2 0.000 0.500 0.618
Li3 0.500 0.000 0.382
Ac1 0.000 0.500 0.272
Ac2 0.500 0.000 0.728
Sc1 0.500 0.500 0.000
Sb1 0.000 0.000 0.500
Sb2 0.000 0.500 0.849
Sb3 0.500 0.000 0.151
Sb4 0.500 0.500 0.500

The 10 most intense peaks (10° ≤ 2θ ≤ 90°), by intensity:
2θ/deg, I (rel.)
30.86, 100
38.07, 44
29.81, 40
24.27, 34
64.34, 29
20.28, 24
43.35, 22
49.09, 21
26.67, 18
59.05, 18